For MgPaGaGe, a DFT-relaxed cell (GGA-PBE, Alexandria) gives the theoretical X-ray powder pattern in this record (Cu Kα).
Kinematic intensities with the Lorentz-polarization factor, no thermal factor.

Principal peaks in the range 10° ≤ 2θ ≤ 80°, by angle:
d/Å  two_theta  I_rel  h k l
4.631  19.2  290  0 0 1
4.438  20.0  252  0 1 0
3.048  29.3  203  1 0 1
2.991  29.9  201  1 1 0
2.512  35.7  1000  1 1 1
2.316  38.9  198  0 0 2
2.219  40.7  175  0 2 0
2.024  44.8  133  2 0 0
1.372  68.4  151  1 1 3
1.331  70.8  136  1 3 1

Crystal structure
```
data_MgPaGaGe
_space_group_name_H-M_alt 'P 1'
_space_group_IT_number 1
_space_group_name_Hall 'P 1'
_cell_length_a 4.048
_cell_length_b 4.438
_cell_length_c 4.631
_cell_angle_alpha 90.00
_cell_angle_beta 90.00
_cell_angle_gamma 90.00
loop_
_atom_site_label
_atom_site_type_symbol
_atom_site_fract_x
_atom_site_fract_y
_atom_site_fract_z
Mg1 Mg 0.000 0.000 0.000
Pa1 Pa 0.000 0.500 0.500
Ga1 Ga 0.500 0.500 0.000
Ge1 Ge 0.500 0.000 0.500
```